[1]
Computed X-ray diffraction stick pattern
Compound: TcIr3Ru2
Radiation: a wavelength of 1.5418 Å
Structure: a structure optimized by DFT (GGA-PBE)
Neutral-atom scattering factors, no anomalous dispersion.

Structure:
```
TcIr3Ru2
1.0
5.437 0.000 0.000
0.000 3.853 0.000
-0.029 0.000 8.190
Tc Ir Ru
2 6 4
direct
0.129 0.250 0.249
0.871 0.750 0.751
0.125 0.250 0.583
0.370 0.750 0.088
0.375 0.750 0.748
0.625 0.250 0.252
0.630 0.250 0.912
0.875 0.750 0.417
0.123 0.250 0.919
0.373 0.750 0.413
0.627 0.250 0.587
0.877 0.750 0.081
```

Most intense lines, 5 to 70 degrees two-theta, in order of rising 2θ:
Position (°2θ), I_rel
19.57, 9
27.22, 7
30.48, 8
36.05, 6
40.50, 100
40.62, 99
47.14, 65
47.27, 32
68.83, 31
69.04, 31

***

[2]
Computed X-ray diffraction stick pattern
Compound: NaTlHg2F8
Radiation: a wavelength of 1.5418 Å
Structure: a structure optimized by DFT (GGA-PBE)
Neutral-atom scattering factors, no anomalous dispersion.

Structure:
```
NaTlHg2F8
1.0
4.092 0.000 0.000
0.000 7.686 0.000
-0.012 0.000 5.578
Na Tl Hg F
1 1 2 8
direct
0.000 0.000 0.000
0.000 0.500 0.000
0.500 0.239 0.500
0.500 0.761 0.500
0.001 0.270 0.756
0.001 0.730 0.756
0.499 0.500 0.238
0.500 0.000 0.248
0.500 0.000 0.752
0.501 0.500 0.762
0.999 0.270 0.244
0.999 0.730 0.244
```

Most intense lines, 5 to 70 degrees two-theta, in order of rising 2θ:
Position (°2θ), I_rel
11.51, 22
19.66, 23
27.03, 100
28.20, 89
31.95, 36
32.09, 18
44.28, 21
45.91, 75
53.32, 31
55.33, 27

***

[3]
Computed X-ray diffraction stick pattern
Compound: LiAl6S8
Radiation: a wavelength of 1.5418 Å
Structure: a structure optimized by DFT (GGA-PBE)
Neutral-atom scattering factors, no anomalous dispersion.

Structure:
```
LiAl6S8
1.0
4.922 2.842 3.525
-4.922 2.842 3.525
0.000 -5.684 3.525
Li Al S
1 6 8
direct
0.000 0.000 0.000
0.203 0.551 0.389
0.389 0.203 0.551
0.449 0.611 0.797
0.551 0.389 0.203
0.611 0.797 0.449
0.797 0.449 0.611
0.136 0.394 0.704
0.228 0.228 0.228
0.296 0.864 0.606
0.394 0.704 0.136
0.606 0.296 0.864
0.704 0.136 0.394
0.772 0.772 0.772
0.864 0.606 0.296
```

Most intense lines, 5 to 70 degrees two-theta, in order of rising 2θ:
Position (°2θ), I_rel
13.34, 100
26.87, 22
28.97, 25
31.21, 38
31.48, 35
39.03, 23
44.32, 19
44.92, 47
49.70, 32
58.72, 18